Starting from a crystal structure in Alexandria, relaxed with PBE, the X-ray diffraction stick pattern of LiCdIO4 was calculated for Cu Ka.

a b c (Å): 6.4081 6.4081 6.4081
angles (deg): 115.92 112.87 100.03
Fractional positions:
Li 0.0000 0.0000 0.0000
Li 0.5000 0.0000 0.5000
Cd 0.5000 0.0000 0.0000
Cd 0.5000 0.5000 0.5000
I 0.0546 0.3046 0.7500
I 0.9454 0.6954 0.2500
O 0.1973 0.2343 0.5371
O 0.1973 0.6602 0.9629
O 0.2697 0.2341 0.0356
O 0.3016 0.7659 0.5356
O 0.6984 0.2341 0.4644
O 0.7303 0.7659 0.9644
O 0.8027 0.3398 0.0371
O 0.8027 0.7657 0.4629

Peak list (10 most intense, 15° ≤ 2θ ≤ 90°, in order of rising 2θ)
two_theta	I/Imax
21.58	621
25.14	533
28.30	205
31.13	1000
33.36	230
43.79	94
44.30	308
48.20	367
51.59	108
58.24	162